Starting from the PBE geometry in Alexandria, the powder diffraction line list of Tb5Ho2Sb4 was simulated for Cu Kα X-rays.

Largest 12 diffraction maxima, low angle first, 10 to 90 degrees two-theta:
2θ/deg  intensity
24.82  33
29.50  80
29.87  100
32.44  77
35.10  51
36.60  37
37.34  30
38.78  26
42.17  31
50.39  29
59.68  31
61.23  23

a b c (Å): 13.095 13.095 7.320
angles (deg): 91.42 91.42 15.90
Positions (direct):
Tb 0.000 0.000 0.000
Tb 0.360 0.360 0.837
Tb 0.409 0.409 0.306
Tb 0.591 0.591 0.694
Tb 0.640 0.640 0.163
Ho 0.264 0.264 0.217
Ho 0.736 0.736 0.783
Sb 0.174 0.174 0.501
Sb 0.468 0.468 0.679
Sb 0.532 0.532 0.321
Sb 0.826 0.826 0.499